1.
ZrAlV: calculated powder diffractogram (copper Kα), based on a crystal structure in the Materials Project, relaxed with PBE.
No peak broadening, texture or thermal motion is included.

Peak list (10 most intense, 2θ = 5–70°, by angle)
2θ = 19.5°, I = 19, (0 0 2)
2θ = 28.3°, I = 16, (2 1 1)
2θ = 34.2°, I = 49, (0 2 0)
2θ = 36.6°, I = 100, (3 1 1)
2θ = 39.7°, I = 18, (0 2 2)
2θ = 40.1°, I = 83, (2 1 3)
2θ = 41.0°, I = 58, (1 0 4)
2θ = 62.7°, I = 23, (3 3 1)
2θ = 65.1°, I = 14, (2 3 3)
2θ = 67.5°, I = 27, (5 0 4)

Structural model:
```
data_ZrAlV
_chemical_formula_sum 'Zr8 Al8 V8'
_cell_length_a 8.7666
_cell_length_b 5.2538
_cell_length_c 9.0726
_cell_angle_alpha 90.00
_cell_angle_beta 90.00
_cell_angle_gamma 90.00
_space_group_name_H-M_alt 'A m m 2'
_space_group_IT_number 38
loop_
_space_group_symop_operation_xyz
'x,y,z'
'-x,-y,z'
'-x,y,z'
'x,-y,z'
'x,y+1/2,z+1/2'
'-x,-y+1/2,z+1/2'
'-x,y+1/2,z+1/2'
'x,-y+1/2,z+1/2'
loop_
_atom_site_label
_atom_site_type_symbol
_atom_site_fract_x
_atom_site_fract_y
_atom_site_fract_z
Zr1 Zr 0.1855 0.0000 0.0000
Zr2 Zr 0.3126 0.0000 0.6640
Al1 Al 0.2455 0.0000 0.3275
Al2 Al 0.5000 0.2455 0.9166
V1 V 0.0000 0.0000 0.5038
V2 V 0.0000 0.2341 0.7429
V3 V 0.5000 0.0000 0.1618
```



2.
K2NdPCO7: calculated powder diffractogram (copper Kα), based on a crystal structure in the Materials Project, relaxed with PBE.
No peak broadening, texture or thermal motion is included.

Peak list (10 most intense, 2θ = 5–70°, by angle)
2θ = 8.8°, I = 100, (0 0 1)
2θ = 14.9°, I = 43, (0 1 1)
2θ = 19.6°, I = 40, (1 1 0)
2θ = 22.8°, I = 27, (1 0 -2)
2θ = 24.1°, I = 34, (1 0 2)
2θ = 24.3°, I = 21, (0 2 0)
2θ = 25.8°, I = 22, (0 2 1)
2θ = 30.0°, I = 39, (1 2 -1)
2θ = 30.5°, I = 23, (1 2 1)
2θ = 31.0°, I = 27, (2 0 0)

Structural model:
```
data_K2NdPCO7
_chemical_formula_sum 'K4 Nd2 P2 C2 O14'
_cell_length_a 5.7815
_cell_length_b 7.3358
_cell_length_c 10.1028
_cell_angle_alpha 90.00
_cell_angle_beta 93.14
_cell_angle_gamma 90.00
_space_group_name_H-M_alt 'P 1 21/m 1'
_space_group_IT_number 11
loop_
_space_group_symop_operation_xyz
'x,y,z'
'-x,-y,-z'
'-x,y+1/2,-z'
'x,-y+1/2,z'
loop_
_atom_site_label
_atom_site_type_symbol
_atom_site_fract_x
_atom_site_fract_y
_atom_site_fract_z
K1 K 0.2443 0.0126 0.2136
Nd1 Nd 0.2175 0.2500 0.6226
P1 P 0.2913 0.7500 0.5733
C1 C 0.2682 0.2500 0.9065
O1 O 0.0610 0.2500 0.8463
O2 O 0.1836 0.7500 0.4269
O3 O 0.2106 0.5751 0.6439
O4 O 0.3039 0.2500 0.0311
O5 O 0.4384 0.2500 0.4314
O6 O 0.4423 0.2500 0.8256
```



3.
UC2O6: calculated powder diffractogram (copper Kα), based on a crystal structure in the Materials Project, relaxed with PBE.
No peak broadening, texture or thermal motion is included.

Peak list (10 most intense, 2θ = 5–70°, by angle)
2θ = 13.8°, I = 98, (2 0 0)
2θ = 16.2°, I = 88, (0 0 2)
2θ = 19.9°, I = 100, (2 0 -2)
2θ = 21.4°, I = 37, (1 1 2)
2θ = 23.0°, I = 94, (0 2 1)
2θ = 23.5°, I = 33, (3 1 0)
2θ = 26.3°, I = 51, (2 2 -1)
2θ = 27.5°, I = 31, (2 2 1)
2θ = 34.3°, I = 31, (2 2 -3)
2θ = 36.1°, I = 29, (3 1 3)

Structural model:
```
data_UC2O6
_chemical_formula_sum 'U8 C16 O48'
_cell_length_a 12.9130
_cell_length_b 8.2837
_cell_length_c 11.0396
_cell_angle_alpha 90.00
_cell_angle_beta 97.63
_cell_angle_gamma 90.00
_space_group_name_H-M_alt 'C 1 2/c 1'
_space_group_IT_number 15
loop_
_space_group_symop_operation_xyz
'x,y,z'
'-x,-y,-z'
'-x,y,-z+1/2'
'x,-y,z+1/2'
'x+1/2,y+1/2,z'
'-x+1/2,-y+1/2,-z'
'-x+1/2,y+1/2,-z+1/2'
'x+1/2,-y+1/2,z+1/2'
loop_
_atom_site_label
_atom_site_type_symbol
_atom_site_fract_x
_atom_site_fract_y
_atom_site_fract_z
U1 U 0.2038 0.1127 0.2231
C1 C 0.0360 0.3884 0.0292
C2 C 0.0546 0.4373 0.5641
O1 O 0.0780 0.0395 0.6664
O2 O 0.0783 0.2621 0.0629
O3 O 0.1166 0.3673 0.6384
O4 O 0.1417 0.1975 0.3482
O5 O 0.2244 0.4349 0.9042
O6 O 0.2372 0.1206 0.7923
```



4.
RbF3: calculated powder diffractogram (copper Kα), based on a crystal structure in the Materials Project, relaxed with PBE.
No peak broadening, texture or thermal motion is included.

Peak list (10 most intense, 2θ = 5–70°, by angle)
2θ = 20.4°, I = 24, (0 0 2)
2θ = 24.2°, I = 66, (1 0 1)
2θ = 31.1°, I = 17, (1 1 0)
2θ = 37.5°, I = 100, (1 1 2)
2θ = 38.1°, I = 20, (1 0 3)
2θ = 41.6°, I = 18, (0 0 4)
2θ = 44.6°, I = 29, (2 0 0)
2θ = 51.3°, I = 18, (2 1 1)
2θ = 60.1°, I = 11, (2 1 3)
2θ = 62.6°, I = 19, (2 0 4)

Structural model:
```
data_RbF3
_chemical_formula_sum 'Rb2 F6'
_cell_length_a 4.0667
_cell_length_b 4.0667
_cell_length_c 8.6881
_cell_angle_alpha 90.00
_cell_angle_beta 90.00
_cell_angle_gamma 90.00
_space_group_name_H-M_alt 'I 4/m m m'
_space_group_IT_number 139
_space_group_name_Hall '-I 4 2'
loop_
_atom_site_label
_atom_site_type_symbol
_atom_site_fract_x
_atom_site_fract_y
_atom_site_fract_z
Rb1 Rb 0.0000 0.0000 0.0000
F1 F 0.0000 0.0000 0.5000
F2 F 0.0000 0.5000 0.2500
```



5.
Mg9Si5: calculated powder diffractogram (copper Kα), based on a crystal structure in the Materials Project, relaxed with PBE.
No peak broadening, texture or thermal motion is included.

Peak list (10 most intense, 2θ = 5–70°, by angle)
2θ = 24.8°, I = 14, (1 1 0)
2θ = 33.3°, I = 100, (1 1 9)
2θ = 34.9°, I = 43, (2 0 8)
2θ = 38.0°, I = 47, (0 2 10)
2θ = 38.3°, I = 43, (2 1 1)
2θ = 43.3°, I = 20, (1 2 8)
2θ = 43.6°, I = 54, (3 0 0)
2θ = 44.8°, I = 26, (0 0 18)
2θ = 45.9°, I = 24, (2 1 10)
2θ = 64.3°, I = 17, (3 0 18)

Structural model:
```
data_Mg9Si5
_chemical_formula_sum 'Mg54 Si30'
_cell_length_a 7.1895
_cell_length_b 7.1895
_cell_length_c 36.4209
_cell_angle_alpha 90.00
_cell_angle_beta 90.00
_cell_angle_gamma 120.00
_space_group_name_H-M_alt 'R -3 c'
_space_group_IT_number 167
_space_group_name_Hall '-R 3 2"c'
loop_
_atom_site_label
_atom_site_type_symbol
_atom_site_fract_x
_atom_site_fract_y
_atom_site_fract_z
Mg1 Mg 0.0000 0.2544 0.2500
Mg2 Mg 0.0377 0.2885 0.1371
Si1 Si 0.0000 0.0000 0.0000
Si2 Si 0.0000 0.0000 0.0787
Si3 Si 0.0000 0.0000 0.1933
```



6.
Na3BiF6: calculated powder diffractogram (copper Kα), based on a crystal structure in the Materials Project, relaxed with PBE.
No peak broadening, texture or thermal motion is included.

Peak list (10 most intense, 2θ = 5–70°, by angle)
2θ = 15.4°, I = 76, (0 0 1)
2θ = 15.6°, I = 65, (0 1 0)
2θ = 16.0°, I = 61, (0 1 1)
2θ = 16.9°, I = 100, (1 0 0)
2θ = 20.8°, I = 64, (1 1 1)
2θ = 21.9°, I = 60, (1 -1 0)
2θ = 24.2°, I = 27, (1 1 0)
2θ = 31.1°, I = 29, (0 0 2)
2θ = 33.4°, I = 27, (1 2 2)
2θ = 34.3°, I = 27, (1 -2 0)

Structural model:
```
data_Na3BiF6
_chemical_formula_sum 'Na3 Bi1 F6'
_cell_length_a 5.5361
_cell_length_b 6.4397
_cell_length_c 6.8129
_cell_angle_alpha 62.72
_cell_angle_beta 72.15
_cell_angle_gamma 86.85
_space_group_name_H-M_alt 'P -1'
_space_group_IT_number 2
loop_
_space_group_symop_operation_xyz
'x,y,z'
'-x,-y,-z'
loop_
_atom_site_label
_atom_site_type_symbol
_atom_site_fract_x
_atom_site_fract_y
_atom_site_fract_z
Na1 Na 0.0000 0.0000 0.0000
Na2 Na 0.0000 0.5000 0.0000
Na3 Na 0.5000 0.0000 0.5000
Bi1 Bi 0.0000 0.5000 0.5000
F1 F 0.1655 0.7279 0.6151
F2 F 0.2198 0.6851 0.1053
F3 F 0.2500 0.2123 0.6376
```



7.
TbPS: calculated powder diffractogram (copper Kα), based on a crystal structure in the Materials Project, relaxed with PBE.
No peak broadening, texture or thermal motion is included.

Peak list (10 most intense, 2θ = 5–70°, by angle)
2θ = 21.2°, I = 30, (0 0 4)
2θ = 25.8°, I = 100, (1 1 2)
2θ = 32.0°, I = 19, (0 0 6)
2θ = 33.2°, I = 21, (2 0 0)
2θ = 33.6°, I = 22, (0 2 0)
2θ = 39.7°, I = 27, (2 0 4)
2θ = 40.0°, I = 68, (0 2 4)
2θ = 47.9°, I = 24, (2 2 0)
2θ = 49.6°, I = 13, (1 1 8)
2θ = 55.5°, I = 13, (1 3 2)

Structural model:
```
data_TbPS
_chemical_formula_sum 'Tb8 P8 S8'
_cell_length_a 5.3986
_cell_length_b 5.3390
_cell_length_c 16.7936
_cell_angle_alpha 90.00
_cell_angle_beta 90.00
_cell_angle_gamma 90.00
_space_group_name_H-M_alt 'P n m a'
_space_group_IT_number 62
loop_
_space_group_symop_operation_xyz
'x,y,z'
'-x,-y,-z'
'-x+1/2,-y,z+1/2'
'x+1/2,y,-z+1/2'
'x+1/2,-y+1/2,-z+1/2'
'-x+1/2,y+1/2,z+1/2'
'-x,y+1/2,-z'
'x,-y+1/2,z'
loop_
_atom_site_label
_atom_site_type_symbol
_atom_site_fract_x
_atom_site_fract_y
_atom_site_fract_z
Tb1 Tb 0.0152 0.2500 0.1463
Tb2 Tb 0.0159 0.7500 0.3624
P1 P 0.2042 0.5365 0.9973
S1 S 0.0118 0.2500 0.3164
S2 S 0.0152 0.7500 0.1892
```



- Number 5 is which compound?
  Mg9Si5



- Number 4 is which compound?
  RbF3